No. 1
# KCd3Ag
Theoretical powder diffraction line list, Cu Ka. Input: a crystal structure in Alexandria, relaxed with PBE.
Peak positions follow from Bragg's law for the DFT cell and can differ from measured ones.

Largest 6 diffraction maxima, by intensity, 2θ from 5° to 70°:
- 2θ 32.1, intensity 100
- 2θ 38.0, intensity 47
- 2θ 41.2, intensity 46
- 2θ 20.3, intensity 37
- 2θ 14.1, intensity 29
- 2θ 50.5, intensity 23

Structure:
```
KCd3Ag
1.0
7.2303 0.0000 0.0000
-3.6152 6.2616 0.0000
0.0000 0.0000 6.1358
K Cd Ag
2 6 2
direct
0.3333 0.6667 0.2500
0.6667 0.3333 0.7500
0.1928 0.3857 0.7500
0.1928 0.8072 0.7500
0.3857 0.1928 0.2500
0.6143 0.8072 0.7500
0.8072 0.1928 0.2500
0.8072 0.6143 0.2500
0.0000 0.0000 0.0000
0.0000 0.0000 0.5000
```

***

No. 2
# K2CdAg2
Theoretical powder diffraction line list, Cu Ka. Input: a crystal structure in Alexandria, relaxed with PBE.
Peak positions follow from Bragg's law for the DFT cell and can differ from measured ones.

Largest 6 diffraction maxima, by intensity, 2θ from 5° to 70°:
- 2θ 33.2, intensity 100
- 2θ 16.5, intensity 75
- 2θ 8.2, intensity 53
- 2θ 41.0, intensity 45
- 2θ 25.8, intensity 43
- 2θ 33.4, intensity 35

Structure:
```
K2CdAg2
1.0
-1.9709 1.9709 10.7402
1.9709 -1.9709 10.7402
1.9709 1.9709 -10.7402
K Cd Ag
2 1 2
direct
0.1170 0.1170 0.0000
0.8830 0.8830 0.0000
0.5000 0.5000 0.0000
0.2500 0.7500 0.5000
0.7500 0.2500 0.5000
```

***

No. 3
# K8Cd2Ag
Theoretical powder diffraction line list, Cu Ka. Input: a crystal structure in Alexandria, relaxed with PBE.
Peak positions follow from Bragg's law for the DFT cell and can differ from measured ones.

Largest 6 diffraction maxima, by intensity, 2θ from 5° to 70°:
- 2θ 27.6, intensity 100
- 2θ 26.6, intensity 36
- 2θ 17.4, intensity 32
- 2θ 17.3, intensity 29
- 2θ 30.3, intensity 28
- 2θ 30.0, intensity 25

Structure:
```
K8Cd2Ag
1.0
-2.9742 5.0999 8.8386
2.9742 -5.0999 8.8386
2.9742 5.0999 -8.8386
K Cd Ag
8 2 1
direct
0.1200 0.3426 0.7774
0.1388 0.1388 0.0000
0.3122 0.0000 0.3122
0.4348 0.6574 0.7774
0.5652 0.3426 0.2226
0.6878 0.0000 0.6878
0.8612 0.8612 0.0000
0.8800 0.6574 0.2226
0.3069 0.8069 0.5000
0.6931 0.1931 0.5000
0.0000 0.5000 0.5000
```

***

No. 4
# K3CdAg3
Theoretical powder diffraction line list, Cu Ka. Input: a crystal structure in Alexandria, relaxed with PBE.
Peak positions follow from Bragg's law for the DFT cell and can differ from measured ones.

Largest 6 diffraction maxima, by intensity, 2θ from 5° to 70°:
- 2θ 28.2, intensity 100
- 2θ 5.8, intensity 65
- 2θ 19.6, intensity 62
- 2θ 35.0, intensity 57
- 2θ 14.2, intensity 51
- 2θ 36.5, intensity 42

Structure:
```
K3CdAg3
1.0
6.2345 -2.4628 0.0000
6.2345 2.4628 0.0000
-6.1805 0.0000 15.2914
K Cd Ag
6 2 6
direct
0.0206 0.0206 0.2672
0.1833 0.1833 0.5759
0.3571 0.3571 0.8773
0.6429 0.6429 0.1227
0.8167 0.8167 0.4241
0.9794 0.9794 0.7328
0.3329 0.3329 0.0881
0.6671 0.6671 0.9119
0.0868 0.0868 0.9637
0.3203 0.3203 0.2614
0.4823 0.4823 0.5798
0.5177 0.5177 0.4202
0.6797 0.6797 0.7386
0.9132 0.9132 0.0363
```

***

No. 5
# KCd11Ag
Theoretical powder diffraction line list, Cu Ka. Input: a crystal structure in Alexandria, relaxed with PBE.
Peak positions follow from Bragg's law for the DFT cell and can differ from measured ones.

Largest 6 diffraction maxima, by intensity, 2θ from 5° to 70°:
- 2θ 35.0, intensity 100
- 2θ 35.3, intensity 60
- 2θ 39.1, intensity 51
- 2θ 39.7, intensity 41
- 2θ 39.5, intensity 40
- 2θ 34.6, intensity 31

Structure:
```
KCd11Ag
1.0
2.9936 -7.2348 0.0000
2.9936 7.2348 0.0000
-2.8704 0.0000 7.1659
K Cd Ag
1 11 1
direct
0.0000 0.0000 0.0000
0.0000 0.5000 0.0000
0.0113 0.6620 0.6438
0.2775 0.4921 0.7813
0.3380 0.9887 0.3562
0.4921 0.2775 0.7813
0.5000 0.0000 0.0000
0.5000 0.5000 0.5000
0.5079 0.7225 0.2187
0.6620 0.0113 0.6438
0.7225 0.5079 0.2187
0.9887 0.3380 0.3562
0.0000 0.0000 0.5000
```

***

No. 6
# K3Cd5Ag6
Theoretical powder diffraction line list, Cu Ka. Input: a crystal structure in Alexandria, relaxed with PBE.
Peak positions follow from Bragg's law for the DFT cell and can differ from measured ones.

Largest 6 diffraction maxima, by intensity, 2θ from 5° to 70°:
- 2θ 15.4, intensity 100
- 2θ 39.9, intensity 72
- 2θ 36.6, intensity 46
- 2θ 37.2, intensity 38
- 2θ 31.2, intensity 23
- 2θ 32.4, intensity 23

Structure:
```
K3Cd5Ag6
1.0
4.8371 0.0000 0.0000
0.0000 14.2672 0.0000
0.0000 0.0000 11.4722
K Cd Ag
6 10 12
direct
0.2500 0.0478 0.2442
0.2500 0.4522 0.2442
0.2500 0.7500 0.2692
0.7500 0.2500 0.7308
0.7500 0.5478 0.7558
0.7500 0.9522 0.7558
0.2500 0.0604 0.5502
0.2500 0.4396 0.5502
0.2500 0.6450 0.9790
0.2500 0.7500 0.7498
0.2500 0.8550 0.9790
0.7500 0.1450 0.0210
0.7500 0.2500 0.2502
0.7500 0.3550 0.0210
0.7500 0.5604 0.4498
0.7500 0.9396 0.4498
0.2500 0.0515 0.9565
0.2500 0.2500 0.4408
0.2500 0.2500 0.9911
0.2500 0.4485 0.9565
0.2500 0.6429 0.5394
0.2500 0.8571 0.5394
0.7500 0.1429 0.4606
0.7500 0.3571 0.4606
0.7500 0.5515 0.0435
0.7500 0.7500 0.0089
0.7500 0.7500 0.5592
0.7500 0.9485 0.0435
```

***

No. 7
# K3Cd9Ag2
Theoretical powder diffraction line list, Cu Ka. Input: a crystal structure in Alexandria, relaxed with PBE.
Peak positions follow from Bragg's law for the DFT cell and can differ from measured ones.

Largest 6 diffraction maxima, by intensity, 2θ from 5° to 70°:
- 2θ 30.7, intensity 100
- 2θ 36.4, intensity 81
- 2θ 16.3, intensity 70
- 2θ 39.9, intensity 58
- 2θ 33.0, intensity 57
- 2θ 39.7, intensity 55

Structure:
```
K3Cd9Ag2
1.0
-2.4710 5.4528 7.1848
2.4710 -5.4528 7.1848
2.4710 5.4528 -7.1848
K Cd Ag
3 9 2
direct
0.0000 0.0000 0.0000
0.3094 0.3094 0.0000
0.6906 0.6906 0.0000
0.0295 0.6710 0.3585
0.1590 0.8787 0.2803
0.3125 0.6710 0.6415
0.4016 0.1213 0.2803
0.5000 0.0000 0.5000
0.5984 0.8787 0.7197
0.6875 0.3290 0.3585
0.8410 0.1213 0.7197
0.9705 0.3290 0.6415
0.2921 0.5000 0.7921
0.7079 0.5000 0.2079
```

***

No. 8
# KCd8Ag4
Theoretical powder diffraction line list, Cu Ka. Input: a crystal structure in Alexandria, relaxed with PBE.
Peak positions follow from Bragg's law for the DFT cell and can differ from measured ones.

Largest 6 diffraction maxima, by intensity, 2θ from 5° to 70°:
- 2θ 40.7, intensity 100
- 2θ 35.6, intensity 85
- 2θ 35.3, intensity 68
- 2θ 36.5, intensity 64
- 2θ 39.6, intensity 58
- 2θ 39.9, intensity 55

Structure:
```
KCd8Ag4
1.0
-5.0870 5.0870 2.8162
5.0870 -5.0870 2.8162
5.0870 5.0870 -2.8162
K Cd Ag
1 8 4
direct
0.0000 0.0000 0.0000
0.0000 0.3509 0.3509
0.0000 0.6491 0.6491
0.2794 0.5000 0.7794
0.3509 0.0000 0.3509
0.5000 0.2794 0.7794
0.5000 0.7206 0.2206
0.6491 0.0000 0.6491
0.7206 0.5000 0.2206
0.0000 0.0000 0.5000
0.0000 0.5000 0.0000
0.5000 0.0000 0.0000
0.5000 0.5000 0.5000
```